[1]
NaPdS5: computed XRD peak list (Cu Kα (λ = 1.5418 Å)), based on a GGA-PBE-relaxed structure.
No peak broadening, texture or thermal motion is included.

Principal peaks in the range 10 to 80 degrees two-theta, by intensity:
2θ (°)  I (rel.)
17.82  100
13.93  95
22.10  48
18.03  38
19.42  37
25.23  36
31.36  27
31.52  22
35.82  20
42.51  20

Atomic structure:
abc: 5.740 7.541 9.682
angles: 72.66 77.19 72.50
Fractional coordinates of all 14 atoms:
Na1 0.138 0.231 0.091
Na2 0.862 0.769 0.909
Pd1 0.000 0.000 0.500
Pd2 0.500 0.500 0.000
S1 0.090 0.430 0.791
S2 0.231 0.642 0.179
S3 0.297 0.830 0.972
S4 0.361 0.820 0.601
S5 0.410 0.902 0.387
S6 0.590 0.098 0.613
S7 0.639 0.180 0.399
S8 0.703 0.170 0.028
S9 0.769 0.358 0.821
S10 0.910 0.570 0.209

=====

[2]
Na4Sn3PdS8: computed XRD peak list (Cu Kα (λ = 1.5418 Å)), based on a GGA-PBE-relaxed structure.
No peak broadening, texture or thermal motion is included.

Principal peaks in the range 10 to 80 degrees two-theta, by intensity:
2θ (°)  I (rel.)
13.10  100
32.66  82
30.69  48
44.59  31
46.26  29
27.43  22
28.22  18
26.01  17
41.91  16
45.34  14

Atomic structure:
abc: 7.866 7.866 8.012
angles: 118.13 118.13 57.20
Fractional coordinates of all 16 atoms:
Na1 0.000 0.000 0.000
Na2 0.000 0.500 0.000
Na3 0.500 0.000 0.000
Na4 0.500 0.500 0.000
Sn1 0.000 0.000 0.500
Sn2 0.000 0.500 0.500
Sn3 0.500 0.000 0.500
Pd1 0.500 0.500 0.500
S1 0.227 0.227 0.252
S2 0.242 0.242 0.731
S3 0.261 0.703 0.696
S4 0.297 0.739 0.304
S5 0.703 0.261 0.696
S6 0.739 0.297 0.304
S7 0.758 0.758 0.269
S8 0.773 0.773 0.748

=====

[3]
NaSb2Pd4: computed XRD peak list (Cu Kα (λ = 1.5418 Å)), based on a GGA-PBE-relaxed structure.
No peak broadening, texture or thermal motion is included.

Principal peaks in the range 10 to 80 degrees two-theta, by intensity:
2θ (°)  I (rel.)
41.14  100
15.37  54
37.93  50
32.60  45
45.88  32
43.35  32
21.80  28
78.00  25
64.96  22
34.79  18

Atomic structure:
abc: 8.155 8.155 4.174
angles: 90.00 90.00 90.00
Fractional coordinates of all 14 atoms:
Na1 0.000 0.000 0.000
Na2 0.500 0.500 0.500
Sb1 0.224 0.224 0.500
Sb2 0.276 0.724 0.000
Sb3 0.724 0.276 0.000
Sb4 0.776 0.776 0.500
Pd1 0.083 0.659 0.500
Pd2 0.159 0.417 0.000
Pd3 0.341 0.917 0.500
Pd4 0.417 0.159 0.000
Pd5 0.583 0.841 0.000
Pd6 0.659 0.083 0.500
Pd7 0.841 0.583 0.000
Pd8 0.917 0.341 0.500

=====

[4]
Na3Sb3Pd2: computed XRD peak list (Cu Kα (λ = 1.5418 Å)), based on a GGA-PBE-relaxed structure.
No peak broadening, texture or thermal motion is included.

Principal peaks in the range 10 to 80 degrees two-theta, by intensity:
2θ (°)  I (rel.)
23.89  100
35.76  81
31.59  72
15.95  70
39.22  68
21.50  63
38.64  63
47.25  61
11.75  58
20.67  35

Atomic structure:
abc: 6.025 6.025 15.058
angles: 90.00 90.00 134.49
Fractional coordinates of all 16 atoms:
Na1 0.075 0.925 0.619
Na2 0.075 0.925 0.881
Na3 0.366 0.634 0.750
Na4 0.634 0.366 0.250
Na5 0.925 0.075 0.119
Na6 0.925 0.075 0.381
Sb1 0.337 0.663 0.250
Sb2 0.374 0.626 0.537
Sb3 0.374 0.626 0.963
Sb4 0.626 0.374 0.037
Sb5 0.626 0.374 0.463
Sb6 0.663 0.337 0.750
Pd1 0.213 0.787 0.098
Pd2 0.213 0.787 0.402
Pd3 0.787 0.213 0.598
Pd4 0.787 0.213 0.902

=====

[5]
Na2Sb3Pd5: computed XRD peak list (Cu Kα (λ = 1.5418 Å)), based on a GGA-PBE-relaxed structure.
No peak broadening, texture or thermal motion is included.

Principal peaks in the range 10 to 80 degrees two-theta, by intensity:
2θ (°)  I (rel.)
36.99  100
39.91  91
34.53  71
33.95  63
19.00  62
46.28  43
43.43  43
21.43  39
44.70  36
22.41  35

Atomic structure:
abc: 12.640 12.640 7.076
angles: 90.00 90.00 159.41
Fractional coordinates of all 20 atoms:
Na1 0.016 0.984 0.500
Na2 0.324 0.676 0.402
Na3 0.676 0.324 0.902
Na4 0.984 0.016 0.000
Sb1 0.113 0.887 0.253
Sb2 0.273 0.727 0.867
Sb3 0.451 0.549 0.270
Sb4 0.549 0.451 0.770
Sb5 0.727 0.273 0.367
Sb6 0.887 0.113 0.753
Pd1 0.098 0.902 0.874
Pd2 0.199 0.801 0.581
Pd3 0.217 0.783 0.172
Pd4 0.376 0.624 0.989
Pd5 0.442 0.558 0.646
Pd6 0.558 0.442 0.146
Pd7 0.624 0.376 0.489
Pd8 0.783 0.217 0.672
Pd9 0.801 0.199 0.081
Pd10 0.902 0.098 0.374

=====

[6]
Na3Sb2Pd: computed XRD peak list (Cu Kα (λ = 1.5418 Å)), based on a GGA-PBE-relaxed structure.
No peak broadening, texture or thermal motion is included.

Principal peaks in the range 10 to 80 degrees two-theta, by intensity:
2θ (°)  I (rel.)
16.06  100
34.94  47
10.37  36
23.07  34
34.17  32
41.57  29
35.57  20
37.87  18
37.37  16
43.18  16

Atomic structure:
abc: 9.573 9.573 9.573
angles: 144.53 53.94 140.73
Fractional coordinates of all 12 atoms:
Na1 0.191 0.127 0.318
Na2 0.250 0.250 0.000
Na3 0.309 0.627 0.936
Na4 0.691 0.373 0.064
Na5 0.750 0.750 0.000
Na6 0.809 0.873 0.682
Sb1 0.121 0.610 0.731
Sb2 0.379 0.110 0.488
Sb3 0.621 0.890 0.512
Sb4 0.879 0.390 0.269
Pd1 0.250 0.750 0.500
Pd2 0.750 0.250 0.500

=====

[7]
NaSb2Pd2: computed XRD peak list (Cu Kα (λ = 1.5418 Å)), based on a GGA-PBE-relaxed structure.
No peak broadening, texture or thermal motion is included.

Principal peaks in the range 10 to 80 degrees two-theta, by intensity:
2θ (°)  I (rel.)
37.73  100
34.14  81
19.78  56
32.89  47
35.10  45
44.32  42
43.94  42
16.28  38
34.63  37
34.96  35

Atomic structure:
abc: 4.769 5.900 8.503
angles: 85.04 74.05 67.40
Fractional coordinates of all 10 atoms:
Na1 0.029 0.144 0.299
Na2 0.971 0.856 0.701
Sb1 0.330 0.281 0.561
Sb2 0.375 0.781 0.963
Sb3 0.625 0.219 0.037
Sb4 0.670 0.719 0.439
Pd1 0.166 0.281 0.892
Pd2 0.316 0.571 0.288
Pd3 0.684 0.429 0.712
Pd4 0.834 0.719 0.108

=====

[8]
Na2Sb7Pd12: computed XRD peak list (Cu Kα (λ = 1.5418 Å)), based on a GGA-PBE-relaxed structure.
No peak broadening, texture or thermal motion is included.

Principal peaks in the range 10 to 80 degrees two-theta, by intensity:
2θ (°)  I (rel.)
33.27  100
41.15  56
44.83  37
16.57  35
44.65  30
42.94  27
42.54  25
36.06  25
75.26  22
63.82  19

Atomic structure:
abc: 10.697 10.697 4.213
angles: 90.00 90.00 120.00
Fractional coordinates of all 21 atoms:
Na1 0.333 0.667 0.241
Na2 0.667 0.333 0.759
Sb1 0.000 0.000 0.500
Sb2 0.120 0.709 0.739
Sb3 0.291 0.411 0.739
Sb4 0.411 0.120 0.261
Sb5 0.589 0.880 0.739
Sb6 0.709 0.589 0.261
Sb7 0.880 0.291 0.261
Pd1 0.053 0.434 0.754
Pd2 0.114 0.258 0.229
Pd3 0.144 0.886 0.229
Pd4 0.258 0.144 0.771
Pd5 0.380 0.947 0.754
Pd6 0.434 0.380 0.246
Pd7 0.566 0.620 0.754
Pd8 0.620 0.053 0.246
Pd9 0.742 0.856 0.229
Pd10 0.856 0.114 0.771
Pd11 0.886 0.742 0.771
Pd12 0.947 0.566 0.246

=====

[9]
NaSbPd6: computed XRD peak list (Cu Kα (λ = 1.5418 Å)), based on a GGA-PBE-relaxed structure.
No peak broadening, texture or thermal motion is included.

Principal peaks in the range 10 to 80 degrees two-theta, by intensity:
2θ (°)  I (rel.)
19.25  100
39.07  66
49.85  51
38.27  51
42.62  31
26.52  27
40.25  24
44.36  24
40.54  23
68.65  22

Atomic structure:
abc: 7.427 7.427 7.427
angles: 43.21 43.21 43.21
Fractional coordinates of all 8 atoms:
Na1 0.000 0.000 0.000
Sb1 0.500 0.500 0.500
Pd1 0.059 0.570 0.570
Pd2 0.430 0.430 0.941
Pd3 0.430 0.941 0.430
Pd4 0.570 0.059 0.570
Pd5 0.570 0.570 0.059
Pd6 0.941 0.430 0.430

=====

[10]
Na3Sb4Pd8: computed XRD peak list (Cu Kα (λ = 1.5418 Å)), based on a GGA-PBE-relaxed structure.
No peak broadening, texture or thermal motion is included.

Principal peaks in the range 10 to 80 degrees two-theta, by intensity:
2θ (°)  I (rel.)
38.90  100
45.97  29
23.53  28
35.62  25
70.45  22
40.76  20
13.52  15
45.41  13
11.70  12
68.33  11

Atomic structure:
abc: 9.260 9.260 9.260
angles: 60.00 60.00 60.00
Fractional coordinates of all 30 atoms:
Na1 0.225 0.225 0.775
Na2 0.225 0.775 0.225
Na3 0.225 0.775 0.775
Na4 0.775 0.225 0.225
Na5 0.775 0.225 0.775
Na6 0.775 0.775 0.225
Sb1 0.000 0.000 0.000
Sb2 0.000 0.000 0.500
Sb3 0.000 0.500 0.000
Sb4 0.000 0.500 0.500
Sb5 0.500 0.000 0.000
Sb6 0.500 0.000 0.500
Sb7 0.500 0.500 0.000
Sb8 0.500 0.500 0.500
Pd1 0.142 0.619 0.619
Pd2 0.166 0.166 0.166
Pd3 0.166 0.166 0.501
Pd4 0.166 0.501 0.166
Pd5 0.381 0.381 0.381
Pd6 0.381 0.381 0.858
Pd7 0.381 0.858 0.381
Pd8 0.499 0.834 0.834
Pd9 0.501 0.166 0.166
Pd10 0.619 0.142 0.619
Pd11 0.619 0.619 0.142
Pd12 0.619 0.619 0.619
Pd13 0.834 0.499 0.834
Pd14 0.834 0.834 0.499
Pd15 0.834 0.834 0.834
Pd16 0.858 0.381 0.381

=====

[11]
NaSb2TePd: computed XRD peak list (Cu Kα (λ = 1.5418 Å)), based on a GGA-PBE-relaxed structure.
No peak broadening, texture or thermal motion is included.

Principal peaks in the range 10 to 80 degrees two-theta, by intensity:
2θ (°)  I (rel.)
28.83  100
17.04  98
34.47  97
47.16  80
31.18  64
15.45  58
59.71  39
49.55  34
35.75  31
58.34  27

Atomic structure:
abc: 5.203 5.203 5.737
angles: 90.00 90.00 90.00
Fractional coordinates of all 5 atoms:
Na1 0.000 0.000 0.000
Sb1 0.000 0.500 0.500
Sb2 0.500 0.000 0.500
Te1 0.500 0.500 0.000
Pd1 0.500 0.500 0.500

=====

[12]
NaScPd: computed XRD peak list (Cu Kα (λ = 1.5418 Å)), based on a GGA-PBE-relaxed structure.
No peak broadening, texture or thermal motion is included.

Principal peaks in the range 10 to 80 degrees two-theta, by intensity:
2θ (°)  I (rel.)
10.22  100
33.28  93
43.50  78
30.99  76
27.87  76
23.70  57
32.58  51
46.11  49
34.23  47
38.81  44

Atomic structure:
abc: 3.847 3.847 9.080
angles: 102.44 102.44 88.81
Fractional coordinates of all 6 atoms:
Na1 0.247 0.247 0.001
Na2 0.753 0.753 0.999
Sc1 0.190 0.190 0.379
Sc2 0.810 0.810 0.621
Pd1 0.347 0.347 0.696
Pd2 0.653 0.653 0.304